1.
This entry pairs a crystal structure of Er2MnSi3Pt4 with its simulated powder diffraction line list. Radiation: CuKα. Structure: the PBE geometry in Alexandria.

Structural model:
```
Er2MnSi3Pt4
1.0
4.115 0.000 0.000
0.000 4.115 0.000
0.000 0.000 10.293
Er Mn Si Pt
2 1 3 4
Cartesian
0.000 2.058 2.562
2.058 0.000 7.732
2.058 2.058 0.000
0.000 0.000 0.000
0.000 2.058 6.525
2.058 0.000 3.768
0.000 0.000 5.147
0.000 2.058 8.853
2.058 0.000 1.440
2.058 2.058 5.147
```

Principal peaks in the range 10° ≤ 2θ ≤ 90°, low angle first:
- 2θ = 25.97°, I 25
- 2θ = 27.76°, I 24
- 2θ = 31.96°, I 44
- 2θ = 34.02°, I 44
- 2θ = 35.44°, I 100
- 2θ = 44.00°, I 57
- 2θ = 49.51°, I 28
- 2θ = 63.99°, I 22
- 2θ = 68.37°, I 22
- 2θ = 75.33°, I 23

***

2.
This entry pairs a crystal structure of RbErMn2Se4 with its simulated powder diffraction line list. Radiation: CuKα. Structure: the PBE geometry in Alexandria.

Structural model:
```
RbErMn2Se4
1.0
6.840 0.000 0.000
0.000 8.268 0.000
0.000 0.000 8.968
Rb Er Mn Se
2 2 4 8
Cartesian
0.000 0.000 0.000
3.420 4.134 4.484
0.000 0.000 4.484
3.420 4.134 0.000
0.000 4.134 0.970
0.000 4.134 7.998
3.420 0.000 3.514
3.420 0.000 5.454
1.697 1.423 2.871
1.697 6.845 6.097
1.723 2.711 7.355
1.723 5.557 1.613
5.118 2.711 1.613
5.118 5.557 7.355
5.143 1.423 6.097
5.143 6.845 2.871
```

Principal peaks in the range 10° ≤ 2θ ≤ 90°, low angle first:
- 2θ = 14.57°, I 100
- 2θ = 16.82°, I 25
- 2θ = 26.09°, I 94
- 2θ = 27.09°, I 50
- 2θ = 29.39°, I 53
- 2θ = 32.94°, I 59
- 2θ = 34.02°, I 70
- 2θ = 43.36°, I 22
- 2θ = 43.88°, I 49
- 2θ = 45.99°, I 24

***

3.
This entry pairs a crystal structure of Er2Mn16Re with its simulated powder diffraction line list. Radiation: CuKα. Structure: the PBE geometry in Alexandria.

Structural model:
```
Er2Mn16Re
1.0
4.324 2.496 3.905
-4.324 2.496 3.905
0.000 -4.992 3.905
Er Mn Re
2 16 1
Cartesian
0.000 0.000 0.000
0.000 0.000 3.385
0.000 -2.570 2.050
-2.225 1.285 2.050
-2.169 -1.252 5.591
0.000 -2.396 5.241
-2.075 1.198 5.241
-1.198 -2.086 7.521
-2.406 0.006 7.521
2.225 1.285 2.050
0.000 0.000 6.319
1.198 -2.086 7.521
-1.208 2.080 7.521
2.169 -1.252 5.591
0.000 2.504 5.591
2.075 1.198 5.241
2.406 0.006 7.521
1.208 2.080 7.521
0.000 0.000 8.707
```

Principal peaks in the range 10° ≤ 2θ ≤ 90°, low angle first:
- 2θ = 20.54°, I 44
- 2θ = 30.85°, I 36
- 2θ = 32.83°, I 31
- 2θ = 35.98°, I 67
- 2θ = 39.04°, I 75
- 2θ = 41.78°, I 100
- 2θ = 43.00°, I 78
- 2θ = 44.51°, I 48
- 2θ = 45.67°, I 29
- 2θ = 64.69°, I 24

***

4.
This entry pairs a crystal structure of Er9MnS14 with its simulated powder diffraction line list. Radiation: CuKα. Structure: the PBE geometry in Alexandria.

Structural model:
```
Er9MnS14
1.0
6.292 -1.886 0.000
6.292 1.886 0.000
-5.837 0.000 22.185
Er Mn S
9 1 14
Cartesian
0.000 0.000 0.000
-2.817 0.000 10.888
0.245 0.000 8.270
-2.683 0.000 19.686
6.300 0.000 4.007
3.443 0.000 15.325
6.482 0.000 12.689
9.582 0.000 6.122
6.679 0.000 17.418
9.307 0.000 1.567
-1.628 0.000 13.435
1.321 0.000 2.345
1.392 0.000 5.655
-1.456 0.000 16.815
4.528 0.000 0.632
1.834 0.000 11.790
5.117 0.000 6.766
2.257 0.000 18.000
2.289 0.000 21.372
5.299 0.000 10.149
8.456 0.000 8.580
5.519 0.000 19.782
10.662 0.000 3.721
7.812 0.000 14.997
```

Principal peaks in the range 10° ≤ 2θ ≤ 90°, low angle first:
- 2θ = 24.31°, I 84
- 2θ = 24.77°, I 100
- 2θ = 26.59°, I 30
- 2θ = 28.38°, I 39
- 2θ = 32.01°, I 32
- 2θ = 32.42°, I 28
- 2θ = 33.65°, I 46
- 2θ = 34.81°, I 39
- 2θ = 42.61°, I 29
- 2θ = 48.26°, I 27

***

5.
This entry pairs a crystal structure of Y2ErMnSe6 with its simulated powder diffraction line list. Radiation: CuKα. Structure: the PBE geometry in Alexandria.

Structural model:
```
Y2ErMnSe6
1.0
7.018 0.000 0.000
-3.506 6.087 0.000
-3.502 -2.028 6.287
Y Er Mn Se
2 1 1 6
Cartesian
0.000 0.000 0.000
-3.505 2.031 3.182
0.004 4.057 0.577
0.007 -0.001 3.668
-0.935 1.850 2.018
-2.211 0.213 5.056
2.072 -0.110 2.021
-2.575 4.053 5.059
1.303 1.818 5.060
2.385 4.347 2.018
```

Principal peaks in the range 10° ≤ 2θ ≤ 90°, low angle first:
- 2θ = 17.35°, I 42
- 2θ = 23.88°, I 34
- 2θ = 25.36°, I 13
- 2θ = 29.13°, I 100
- 2θ = 35.11°, I 33
- 2θ = 38.43°, I 92
- 2θ = 43.81°, I 23
- 2θ = 44.69°, I 59
- 2θ = 50.70°, I 28
- 2θ = 60.37°, I 17

***

6.
This entry pairs a crystal structure of ErMn10Si2 with its simulated powder diffraction line list. Radiation: CuKα. Structure: the PBE geometry in Alexandria.

Structural model:
```
ErMn10Si2
1.0
4.100 -4.789 0.000
4.100 4.789 0.000
0.000 0.000 8.086
Er Mn Si
2 20 4
Cartesian
4.100 3.544 6.064
4.100 -3.544 2.021
2.034 1.164 6.064
4.100 3.110 0.878
4.100 3.110 3.164
1.740 0.000 0.000
1.740 0.000 4.043
3.004 1.046 2.021
2.034 -1.164 2.021
4.100 0.992 4.571
4.100 0.992 7.557
3.004 -1.046 6.064
5.197 1.046 2.021
4.100 -0.992 0.528
4.100 -0.992 3.514
6.167 1.164 6.064
5.197 -1.046 6.064
6.461 0.000 0.000
6.461 0.000 4.043
4.100 -3.110 4.921
4.100 -3.110 7.207
6.167 -1.164 2.021
2.050 2.395 0.000
2.050 2.395 4.043
2.050 -2.395 0.000
2.050 -2.395 4.043
```

Principal peaks in the range 10° ≤ 2θ ≤ 90°, low angle first:
- 2θ = 30.76°, I 38
- 2θ = 37.55°, I 37
- 2θ = 38.32°, I 46
- 2θ = 40.95°, I 59
- 2θ = 43.59°, I 25
- 2θ = 43.78°, I 28
- 2θ = 43.95°, I 59
- 2θ = 44.18°, I 34
- 2θ = 44.45°, I 100
- 2θ = 45.08°, I 28

***

7.
This entry pairs a crystal structure of Er2Mn12Si7 with its simulated powder diffraction line list. Radiation: CuKα. Structure: the PBE geometry in Alexandria.

Structural model:
```
Er2Mn12Si7
1.0
9.661 0.000 0.000
-4.831 8.367 0.000
0.000 0.000 3.556
Er Mn Si
2 12 7
Cartesian
0.000 0.000 0.000
0.000 5.578 1.778
-3.221 6.391 1.778
-0.873 3.190 0.000
0.906 2.381 1.778
-1.631 7.528 0.000
2.720 1.778 0.000
4.661 0.902 1.778
3.282 3.879 1.778
2.504 6.016 0.000
2.315 7.961 1.778
6.762 1.467 0.000
5.010 5.123 0.000
6.549 3.585 1.778
-2.251 5.149 0.000
2.210 0.339 1.778
1.497 3.843 0.000
0.754 7.742 0.000
4.831 2.789 0.000
4.019 6.284 1.778
8.263 1.745 1.778
```

Principal peaks in the range 10° ≤ 2θ ≤ 90°, low angle first:
- 2θ = 27.25°, I 14
- 2θ = 28.22°, I 11
- 2θ = 32.09°, I 12
- 2θ = 37.23°, I 14
- 2θ = 38.08°, I 100
- 2θ = 46.74°, I 12
- 2θ = 49.95°, I 20
- 2θ = 51.40°, I 14
- 2θ = 54.31°, I 11
- 2θ = 74.49°, I 12

***

8.
This entry pairs a crystal structure of ErMn6Sn6 with its simulated powder diffraction line list. Radiation: CuKα. Structure: the PBE geometry in Alexandria.

Structural model:
```
ErMn6Sn6
1.0
5.442 0.000 0.000
-2.721 4.713 0.000
0.000 0.000 8.956
Er Mn Sn
1 6 6
Cartesian
0.000 0.000 0.000
-1.360 2.356 2.223
-1.360 2.356 6.733
2.721 0.000 2.223
2.721 0.000 6.733
1.360 2.356 2.223
1.360 2.356 6.733
0.000 0.000 2.981
0.000 0.000 5.975
0.000 3.142 0.000
0.000 3.142 4.478
2.721 1.571 0.000
2.721 1.571 4.478
```

Principal peaks in the range 10° ≤ 2θ ≤ 90°, low angle first:
- 2θ = 32.92°, I 100
- 2θ = 35.60°, I 45
- 2θ = 38.19°, I 27
- 2θ = 38.72°, I 87
- 2θ = 40.28°, I 24
- 2θ = 43.39°, I 44
- 2θ = 45.08°, I 24
- 2θ = 62.67°, I 21
- 2θ = 69.03°, I 29
- 2θ = 72.18°, I 36